Structure and theoretical PXRD pattern of CsTl2S3 (the PBE geometry in Alexandria; CuKα).
Kinematic intensities with the Lorentz-polarization factor, no thermal factor.

Structure:
```
CsTl2S3
1.0
3.962 0.000 0.000
0.000 12.396 0.000
0.000 0.000 7.384
Cs Tl S
2 4 6
Cartesian
0.000 1.508 0.000 Cs
0.000 10.888 3.692 Cs
0.000 3.020 3.661 Tl
0.000 9.376 7.353 Tl
1.981 5.909 7.323 Tl
1.981 6.487 3.631 Tl
0.000 5.135 5.281 S
0.000 7.261 1.590 S
1.981 1.406 4.454 S
1.981 3.873 1.933 S
1.981 8.523 5.624 S
1.981 10.990 0.762 S
```

Largest 10 diffraction maxima, low angle first, 2θ from 10° to 80°:
2θ (°)	d (Å)	I (rel.)
21.5	4.132	37
23.6	3.774	51
24.1	3.692	82
24.7	3.606	89
26.7	3.338	69
29.4	3.042	42
32.5	2.753	37
34.0	2.639	59
36.3	2.476	100
44.8	2.021	52